Record 1
Diffraction record for NaScB12. The X-ray powder pattern is simulated, not measured: it uses the GGA-PBE geometry in Alexandria and Cu Kα (λ = 1.5418 Å).

Most intense lines, 2θ from 10° to 90°, low angle first:
2θ/deg, d [Å], intensity
10.74, 8.238, 19
24.19, 3.679, 7
30.73, 2.909, 100
37.88, 2.375, 53
44.02, 2.057, 28
49.54, 1.840, 37
68.39, 1.372, 24
68.44, 1.371, 12
72.60, 1.302, 8
72.72, 1.300, 17

a b c (Å): 4.112 4.112 8.238
angles (deg): 90.00 90.00 90.00
Positions (direct):
Na 0.000 0.000 0.000
Sc 0.000 0.000 0.500
B 0.200 0.500 0.254
B 0.200 0.500 0.746
B 0.500 0.200 0.254
B 0.500 0.200 0.746
B 0.500 0.500 0.102
B 0.500 0.500 0.402
B 0.500 0.500 0.598
B 0.500 0.500 0.898
B 0.500 0.800 0.254
B 0.500 0.800 0.746
B 0.800 0.500 0.254
B 0.800 0.500 0.746

***

Record 2
Diffraction record for NaZn2BSe4. The X-ray powder pattern is simulated, not measured: it uses the GGA-PBE geometry in Alexandria and Cu Kα (λ = 1.5418 Å).

Most intense lines, 2θ from 10° to 90°, low angle first:
2θ/deg, d [Å], intensity
17.30, 5.125, 9
27.90, 3.198, 100
34.39, 2.608, 19
42.19, 2.142, 21
43.76, 2.069, 10
45.92, 1.976, 9
48.35, 1.883, 35
51.34, 1.780, 19
61.83, 1.500, 9
77.72, 1.229, 8

a b c (Å): 6.439 6.437 6.059
angles (deg): 61.95 61.91 56.14
Positions (direct):
Na 0.000 0.000 0.000
Zn 0.249 0.249 0.251
Zn 0.749 0.749 0.751
B 0.499 0.499 0.501
Se 0.178 0.581 0.822
Se 0.418 0.820 0.180
Se 0.581 0.178 0.419
Se 0.820 0.418 0.582